Starting from a GGA-PBE-relaxed structure, the XRD peak list of ZrNb2Mo2 was simulated for Cu Kα (weighted mean of Kα1 and Kα2).
Kinematic intensities with the Lorentz-polarization factor, no thermal factor.

Peak list (8 most intense, 2θ from 10° to 90°, low angle first)
- 38.13 deg, I 27
- 38.56 deg, I 23
- 38.74 deg, I 100
- 55.35 deg, I 15
- 69.31 deg, I 17
- 69.88 deg, I 12
- 70.25 deg, I 9
- 83.12 deg, I 9

Structural model:
Cell: 11.9109 11.7876 2.8670 Å, 85.50 80.61 13.88°
Atoms (fractional coordinates):
Zr 0.0000 0.0000 0.0000
Nb 0.3881 0.3881 0.6119
Nb 0.7876 0.7876 0.2124
Mo 0.1919 0.1919 0.8081
Mo 0.6024 0.6024 0.3976



Starting from a GGA-PBE-relaxed structure, the XRD peak list of Pr5Dy5Y was simulated for Cu Kα (weighted mean of Kα1 and Kα2).
Kinematic intensities with the Lorentz-polarization factor, no thermal factor.

Peak list (8 most intense, 2θ from 10° to 90°, low angle first)
- 28.18 deg, I 100
- 28.93 deg, I 88
- 29.93 deg, I 29
- 32.75 deg, I 39
- 34.41 deg, I 50
- 34.75 deg, I 42
- 50.81 deg, I 39
- 59.95 deg, I 31

Structural model:
Cell: 6.1720 6.1720 11.7920 Å, 90.00 90.00 120.00°
Atoms (fractional coordinates):
Pr 0.0000 0.0000 0.0000
Pr 0.3333 0.6667 0.3161
Pr 0.3333 0.6667 0.6839
Pr 0.6667 0.3333 0.1543
Pr 0.6667 0.3333 0.8457
Dy 0.0000 0.0000 0.2657
Dy 0.0000 0.0000 0.7343
Dy 0.3335 0.1667 0.5000
Dy 0.8333 0.1667 0.5000
Dy 0.8333 0.6665 0.5000
Y 0.3333 0.6667 0.0000



Starting from a GGA-PBE-relaxed structure, the XRD peak list of PuGaI6 was simulated for Cu Kα (weighted mean of Kα1 and Kα2).
Kinematic intensities with the Lorentz-polarization factor, no thermal factor.

Peak list (8 most intense, 2θ from 10° to 90°, low angle first)
- 16.27 deg, I 43
- 22.27 deg, I 14
- 27.31 deg, I 100
- 35.82 deg, I 50
- 41.98 deg, I 37
- 47.05 deg, I 21
- 50.81 deg, I 17
- 70.80 deg, I 15

Structural model:
Cell: 8.0255 8.0255 8.0255 Å, 55.35 55.35 55.35°
Atoms (fractional coordinates):
Pu 0.0000 0.0000 0.0000
Ga 0.5000 0.5000 0.5000
I 0.1042 0.4154 0.7384
I 0.2616 0.8958 0.5846
I 0.4154 0.7384 0.1042
I 0.5846 0.2616 0.8958
I 0.7384 0.1042 0.4154
I 0.8958 0.5846 0.2616



Starting from a GGA-PBE-relaxed structure, the XRD peak list of PrDy5Tm2 was simulated for Cu Kα (weighted mean of Kα1 and Kα2).
Kinematic intensities with the Lorentz-polarization factor, no thermal factor.

Peak list (8 most intense, 2θ from 10° to 90°, low angle first)
- 29.88 deg, I 60
- 31.10 deg, I 72
- 31.23 deg, I 100
- 31.58 deg, I 86
- 32.29 deg, I 34
- 33.77 deg, I 61
- 33.79 deg, I 75
- 35.02 deg, I 29

Structural model:
Cell: 6.0617 8.2923 11.3852 Å, 105.33 98.50 107.28°
Atoms (fractional coordinates):
Pr 0.1031 0.3614 0.2289
Pr 0.8969 0.6386 0.7711
Dy 0.0031 0.9646 0.3400
Dy 0.1836 0.7236 0.0933
Dy 0.2738 0.0945 0.9709
Dy 0.4397 0.8351 0.7132
Dy 0.4498 0.7941 0.4038
Dy 0.5502 0.2059 0.5962
Dy 0.5603 0.1649 0.2868
Dy 0.7262 0.9055 0.0291
Dy 0.8164 0.2764 0.9067
Dy 0.9969 0.0354 0.6600
Tm 0.1426 0.3846 0.5398
Tm 0.3659 0.4610 0.8479
Tm 0.6341 0.5390 0.1521
Tm 0.8574 0.6154 0.4602



Starting from a GGA-PBE-relaxed structure, the XRD peak list of Nd2ZnIn3 was simulated for Cu Kα (weighted mean of Kα1 and Kα2).
Kinematic intensities with the Lorentz-polarization factor, no thermal factor.

Peak list (8 most intense, 2θ from 10° to 90°, low angle first)
- 31.76 deg, I 100
- 36.90 deg, I 23
- 37.00 deg, I 44
- 48.00 deg, I 11
- 49.48 deg, I 19
- 49.59 deg, I 9
- 62.08 deg, I 28
- 63.42 deg, I 18

Structural model:
Cell: 9.7179 9.2235 6.1733 Å, 75.38 66.69 37.93°
Atoms (fractional coordinates):
Nd 0.2500 0.2500 0.2500
Nd 0.2499 0.7501 0.7501
Nd 0.7501 0.2499 0.2499
Nd 0.7500 0.7500 0.7500
Zn 0.1668 0.1668 0.8332
Zn 0.8332 0.8332 0.1668
In 0.1576 0.6708 0.3292
In 0.3284 0.3284 0.6716
In 0.3292 0.8424 0.1576
In 0.6708 0.1576 0.8424
In 0.6716 0.6716 0.3284
In 0.8424 0.3292 0.6708



Starting from a GGA-PBE-relaxed structure, the XRD peak list of Sm5Sc4Si4 was simulated for Cu Kα (weighted mean of Kα1 and Kα2).
Kinematic intensities with the Lorentz-polarization factor, no thermal factor.

Peak list (8 most intense, 2θ from 10° to 90°, low angle first)
- 10.26 deg, I 32
- 23.06 deg, I 29
- 26.58 deg, I 65
- 30.42 deg, I 92
- 31.11 deg, I 29
- 32.84 deg, I 49
- 33.86 deg, I 100
- 37.60 deg, I 39

Structural model:
Cell: 8.8827 8.8827 8.8827 Å, 93.28 93.28 152.30°
Atoms (fractional coordinates):
Sm 0.0000 0.0000 0.0000
Sm 0.2982 0.3728 0.6711
Sm 0.3728 0.7018 0.0746
Sm 0.6272 0.2982 0.9254
Sm 0.7018 0.6272 0.3289
Sc 0.1014 0.5891 0.6904
Sc 0.4109 0.1014 0.5123
Sc 0.5891 0.8986 0.4877
Sc 0.8986 0.4109 0.3096
Si 0.0666 0.2478 0.3143
Si 0.2478 0.9334 0.1812
Si 0.7522 0.0666 0.8188
Si 0.9334 0.7522 0.6857



Starting from a GGA-PBE-relaxed structure, the XRD peak list of Li10SnP2S12 was simulated for Cu Kα (weighted mean of Kα1 and Kα2).
Kinematic intensities with the Lorentz-polarization factor, no thermal factor.

Peak list (8 most intense, 2θ from 10° to 90°, low angle first)
- 14.15 deg, I 64
- 17.02 deg, I 37
- 19.78 deg, I 84
- 20.06 deg, I 45
- 26.43 deg, I 62
- 28.97 deg, I 100
- 40.77 deg, I 43
- 46.51 deg, I 53

Structural model:
Cell: 8.8530 8.8530 12.8814 Å, 90.00 90.00 90.00°
Atoms (fractional coordinates):
Li 0.0000 0.0000 0.0000
Li 0.0000 0.0000 0.5000
Li 0.2157 0.2458 0.4970
Li 0.2157 0.7542 0.4970
Li 0.2282 0.2776 0.7490
Li 0.2282 0.7224 0.7490
Li 0.2458 0.2157 0.9970
Li 0.2458 0.7843 0.9970
Li 0.2776 0.2282 0.2490
Li 0.2776 0.7718 0.2490
Li 0.5000 0.5000 0.3914
Li 0.5000 0.5000 0.8914
Li 0.7224 0.2282 0.2490
Li 0.7224 0.7718 0.2490
Li 0.7542 0.2157 0.9970
Li 0.7542 0.7843 0.9970
Li 0.7718 0.2776 0.7490
Li 0.7718 0.7224 0.7490
Li 0.7843 0.2458 0.4970
Li 0.7843 0.7542 0.4970
Sn 0.0000 0.0000 0.2543
Sn 0.0000 0.0000 0.7543
P 0.0000 0.5000 0.9534
P 0.5000 0.0000 0.4534
P 0.5000 0.5000 0.1361
P 0.5000 0.5000 0.6361
S 0.0000 0.2216 0.6457
S 0.0000 0.2229 0.3621
S 0.0000 0.3104 0.0450
S 0.0000 0.6896 0.0450
S 0.0000 0.7771 0.3621
S 0.0000 0.7784 0.6457
S 0.1938 0.5000 0.8640
S 0.2216 0.0000 0.1457
S 0.2229 0.0000 0.8621
S 0.3078 0.5000 0.5446
S 0.3104 0.0000 0.5450
S 0.3101 0.5000 0.2269
S 0.5000 0.1938 0.3640
S 0.5000 0.3078 0.0446
S 0.5000 0.3101 0.7269
S 0.5000 0.6899 0.7269
S 0.5000 0.6922 0.0446
S 0.5000 0.8062 0.3640
S 0.6896 0.0000 0.5450
S 0.6899 0.5000 0.2269
S 0.6922 0.5000 0.5446
S 0.7771 0.0000 0.8621
S 0.7784 0.0000 0.1457
S 0.8062 0.5000 0.8640



Starting from a GGA-PBE-relaxed structure, the XRD peak list of Ba2CaCoH6 was simulated for Cu Kα (weighted mean of Kα1 and Kα2).
Kinematic intensities with the Lorentz-polarization factor, no thermal factor.

Peak list (8 most intense, 2θ from 10° to 90°, low angle first)
- 15.03 deg, I 38
- 23.56 deg, I 100
- 31.51 deg, I 85
- 35.08 deg, I 27
- 35.52 deg, I 62
- 39.72 deg, I 27
- 48.20 deg, I 27
- 58.73 deg, I 28

Structural model:
Cell: 5.6789 5.6789 5.8929 Å, 90.00 90.00 120.00°
Atoms (fractional coordinates):
Ba 0.3333 0.6667 0.1548
Ba 0.6667 0.3333 0.8452
Ca 0.0000 0.0000 0.5000
Co 0.0000 0.0000 0.0000
H 0.1332 0.2665 0.8372
H 0.1332 0.8668 0.8372
H 0.2665 0.1332 0.1628
H 0.7335 0.8668 0.8372
H 0.8668 0.1332 0.1628
H 0.8668 0.7335 0.1628



Starting from a GGA-PBE-relaxed structure, the XRD peak list of PuAl11Cr was simulated for Cu Kα (weighted mean of Kα1 and Kα2).
Kinematic intensities with the Lorentz-polarization factor, no thermal factor.

Peak list (8 most intense, 2θ from 10° to 90°, low angle first)
- 13.89 deg, I 79
- 19.45 deg, I 61
- 19.61 deg, I 72
- 27.89 deg, I 63
- 33.93 deg, I 45
- 34.20 deg, I 50
- 39.49 deg, I 100
- 39.85 deg, I 63

Structural model:
Cell: 6.8929 6.8929 7.0264 Å, 97.90 97.90 135.36°
Atoms (fractional coordinates):
Pu 0.0000 0.0000 0.0000
Al 0.0000 0.0000 0.5000
Al 0.0000 0.5000 0.0000
Al 0.0270 0.3699 0.3611
Al 0.2903 0.5023 0.7791
Al 0.3699 0.0270 0.3611
Al 0.4977 0.7097 0.2209
Al 0.5000 0.0000 0.0000
Al 0.5023 0.2903 0.7791
Al 0.6301 0.9730 0.6389
Al 0.7097 0.4977 0.2209
Al 0.9730 0.6301 0.6389
Cr 0.5000 0.5000 0.5000